For Pu4UAs5, a cell relaxed with PBE gives the theoretical X-ray diffraction stick pattern in this record (Cu Kα).
Neutral-atom scattering factors, no anomalous dispersion.

Crystal structure
a b c (Å): 4.1031 5.8354 20.7292
angles (deg): 90.00 90.00 90.00
Space group Immm (No. 71)
Asymmetric unit:
Pu 0.0000 0.0000 0.0996 (multiplicity 4)
Pu 0.0000 0.0000 0.2998 (multiplicity 4)
U 0.0000 0.0000 0.5000 (multiplicity 2)
As 0.0000 0.5000 0.0977 (multiplicity 4)
As 0.0000 0.5000 0.2997 (multiplicity 4)
As 0.0000 0.5000 0.5000 (multiplicity 2)

Largest 10 diffraction maxima, by intensity, 5 to 70 degrees two-theta:
30.65 deg, rel. 100; 43.89 deg, rel. 51; 26.37 deg, rel. 24; 26.56 deg, rel. 23; 54.28 deg, rel. 14; 54.69 deg, rel. 13; 43.67 deg, rel. 13; 63.82 deg, rel. 13; 44.14 deg, rel. 12; 51.87 deg, rel. 12